Structure and computed powder diffraction line list of CaMo2O4 (DFT lattice parameters and positions (GGA+U); λ = 1.5418 Å (Cu Kα)).
Intensities are scaled so that the largest is 100.

Most intense lines, 5° ≤ 2θ ≤ 70°, by intensity:
index, 2θ (°), intensity
1 1 2, 33.14, 100
3 0 2, 32.09, 96
0 0 4, 31.38, 50
2 1 4, 46.46, 49
2 1 0, 33.36, 44
2 0 0, 18.50, 34
6 0 0, 57.70, 33
4 1 0, 47.14, 26
1 0 2, 18.10, 24
3 2 2, 66.76, 22

Structure:
```
data_CaMo2O4
_symmetry_space_group_name_H-M 'P n m a'
_symmetry_Int_Tables_number 62
_symmetry_space_group_name_Hall '-P 2ac 2n'
_cell_length_a 9.5943
_cell_length_b 3.2410
_cell_length_c 11.4042
_cell_angle_alpha 90.00
_cell_angle_beta 90.00
_cell_angle_gamma 90.00
loop_
_atom_site_label
_atom_site_fract_x
_atom_site_fract_y
_atom_site_fract_z
Ca1 0.2392 0.2500 0.1563
Mo1 0.0589 0.2500 0.3834
Mo2 0.0885 0.2500 0.8985
O1 0.0332 0.7500 0.7865
O2 0.0867 0.2500 0.5749
O3 0.1218 0.7500 0.0291
O4 0.1993 0.7500 0.3253
```

=====

Structure and computed powder diffraction line list of Li3Fe9O5F11 (DFT lattice parameters and positions (GGA+U); λ = 1.5418 Å (Cu Kα)).
Intensities are scaled so that the largest is 100.

Most intense lines, 5° ≤ 2θ ≤ 70°, by intensity:
index, 2θ (°), intensity
1 0 -3, 33.92, 100
1 2 3, 33.65, 76
1 2 1, 28.43, 71
1 2 -1, 33.56, 61
2 0 6, 59.52, 50
1 -1 2, 33.44, 46
1 1 1, 16.60, 44
1 -1 0, 28.25, 36
1 1 -2, 28.76, 35
3 1 -2, 54.00, 33

Structure:
```
data_Li3Fe9O5F11
_symmetry_space_group_name_H-M 'P 1'
_symmetry_Int_Tables_number 1
_symmetry_space_group_name_Hall 'P 1'
_cell_length_a 6.2700
_cell_length_b 6.2872
_cell_length_c 10.7030
_cell_angle_alpha 73.05
_cell_angle_beta 72.98
_cell_angle_gamma 60.41
loop_
_atom_site_label
_atom_site_fract_x
_atom_site_fract_y
_atom_site_fract_z
Li1 0.0000 0.0000 0.0000
Li2 0.0155 0.4999 0.5067
Li3 0.5167 0.9924 0.5101
Fe1 0.0050 0.5010 0.0007
Fe2 0.0562 0.0457 0.3394
Fe3 0.2729 0.2593 0.7376
Fe4 0.4962 0.4838 0.5113
Fe5 0.5054 0.4059 0.1716
Fe6 0.5123 0.9979 0.0045
Fe7 0.5502 0.5288 0.8216
Fe8 0.7601 0.7572 0.2389
Fe9 0.9365 0.9212 0.6666
O1 0.1446 0.6069 0.6102
O2 0.3423 0.3541 0.8863
O3 0.6224 0.1348 0.6086
O4 0.6564 0.0850 0.1178
O5 0.6649 0.6278 0.1118
F1 0.1234 0.1172 0.1347
F2 0.1366 0.6295 0.1235
F3 0.1497 0.1330 0.6205
F4 0.3707 0.3665 0.3772
F5 0.3743 0.8837 0.8826
F6 0.4046 0.8508 0.3832
F7 0.6365 0.6244 0.6196
F8 0.8667 0.8438 0.3831
F9 0.8705 0.3996 0.3732
F10 0.8943 0.3551 0.8745
F11 0.9002 0.8783 0.8777
```

=====

Structure and computed powder diffraction line list of V2SiO4 (DFT lattice parameters and positions (GGA+U); λ = 1.5418 Å (Cu Kα)).
Intensities are scaled so that the largest is 100.

Most intense lines, 5° ≤ 2θ ≤ 70°, by intensity:
index, 2θ (°), intensity
3 1 1, 35.61, 100
4 4 0, 62.86, 52
4 0 0, 43.28, 47
3 3 3, 57.24, 25
1 1 1, 18.38, 19
2 2 0, 30.23, 13
3 3 1, 47.38, 12
2 2 2, 37.25, 7
4 2 2, 53.69, 4
5 3 1, 66.10, 3

Structure:
abc: 8.3627 8.3627 8.3627
angles: 90.00 90.00 90.00
Space group Fd-3m (No. 227, origin choice 2)
Asymmetric unit:
V1 0.0000 0.0000 0.0000 (multiplicity 16)
Si1 0.1250 0.1250 0.6250 (multiplicity 8)
O1 0.0099 0.0099 0.7401 (multiplicity 32)

=====

Structure and computed powder diffraction line list of Zn2AgWO6 (DFT lattice parameters and positions (GGA+U); λ = 1.5418 Å (Cu Kα)).
Intensities are scaled so that the largest is 100.

Most intense lines, 5° ≤ 2θ ≤ 70°, by intensity:
index, 2θ (°), intensity
1 1 1, 31.14, 100
1 1 -3, 32.31, 100
2 0 -2, 33.90, 41
0 2 0, 34.31, 38
2 2 -2, 49.01, 33
1 1 -1, 23.94, 28
0 0 4, 41.73, 24
0 2 4, 55.09, 24
0 0 2, 20.52, 22
1 3 1, 59.47, 20

Structure:
```
data_Zn2AgWO6
_symmetry_space_group_name_H-M 'P 1 21/c 1'
_symmetry_Int_Tables_number 14
_symmetry_space_group_name_Hall '-P 2ybc'
_cell_length_a 5.2951
_cell_length_b 5.2272
_cell_length_c 9.9212
_cell_angle_alpha 90.00
_cell_angle_beta 119.24
_cell_angle_gamma 90.00
loop_
_atom_site_label
_atom_site_fract_x
_atom_site_fract_y
_atom_site_fract_z
Zn1 0.2172 0.0166 0.2407
Ag1 0.0000 0.0000 0.5000
W1 0.5000 0.0000 0.0000
O1 0.1722 0.1249 0.8017
O2 0.2366 0.6549 0.5599
O3 0.4683 0.1903 0.5982
```